Structure and calculated powder diffraction line list of Cs4Hg3Br10 (a structure optimized by DFT (GGA-PBE); copper Kα).

Crystal structure
```
data_Cs4Hg3Br10
_chemical_formula_sum 'Cs8 Hg6 Br20'
_symmetry_space_group_name_H-M 'I 4/m m m'
_symmetry_Int_Tables_number 139
_symmetry_space_group_name_Hall '-I 4 2'
_cell_length_a 5.7051
_cell_length_b 5.7051
_cell_length_c 40.3063
_cell_angle_alpha 90.00
_cell_angle_beta 90.00
_cell_angle_gamma 90.00
loop_
_atom_site_label
_atom_site_type_symbol
_atom_site_fract_x
_atom_site_fract_y
_atom_site_fract_z
Cs1 Cs 0.0000 0.0000 0.0678
Cs2 Cs 0.0000 0.0000 0.1979
Hg1 Hg 0.0000 0.0000 0.3579
Hg2 Hg 0.0000 0.0000 0.5000
Br1 Br 0.0000 0.0000 0.2894
Br2 Br 0.0000 0.0000 0.4297
Br3 Br 0.0000 0.5000 0.0000
Br4 Br 0.0000 0.5000 0.1371
```

Peak list (10 most intense, 2θ from 10° to 80°, in order of falling intensity)
31.36°, I 100, hkl 2 0 0; 21.93°, I 66, hkl 1 0 7; 22.03°, I 57, hkl 1 1 0; 44.72°, I 53, hkl 2 0 14; 44.94°, I 38, hkl 2 2 0; 31.06°, I 37, hkl 0 0 14; 38.60°, I 32, hkl 2 1 7; 28.34°, I 31, hkl 1 1 8; 55.64°, I 28, hkl 2 2 14; 15.69°, I 27, hkl 1 0 1